Entry 1:
# Mg2GaHg2
Theoretical X-ray powder pattern, λ = 1.5418 Å (Cu Kα). Input: a crystal structure in Alexandria, relaxed with GGA-PBE.
No peak broadening, texture or thermal motion is included.

Atomic structure:
```
Mg2GaHg2
1.0
9.039 0.000 0.000
0.000 7.105 0.000
-0.036 0.000 6.925
Mg Ga Hg
8 4 8
Cartesian
0.780 1.434 0.015
0.762 2.118 3.477
3.267 4.661 3.470
3.285 5.996 0.008
5.718 1.109 6.917
5.736 2.444 3.454
8.241 4.987 3.447
8.223 5.671 6.910
1.417 3.952 5.541
1.435 6.705 2.078
7.568 0.400 4.846
7.586 3.153 1.384
1.393 3.961 1.370
1.375 6.696 4.832
3.517 1.632 1.768
3.499 1.921 5.230
5.504 5.184 1.694
5.486 5.473 5.157
7.628 0.409 2.093
7.610 3.144 5.555
```

Main lines, sorted by position (2θ from 10° to 80°):
d (Å), I (rel.)
3.813, 100
3.462, 92
3.306, 78
2.569, 64
2.558, 63
2.390, 69

---

Entry 2:
# Mg2Ga2Hg7
Theoretical X-ray powder pattern, λ = 1.5418 Å (Cu Kα). Input: a crystal structure in Alexandria, relaxed with GGA-PBE.
No peak broadening, texture or thermal motion is included.

Atomic structure:
```
Mg2Ga2Hg7
1.0
-2.356 6.386 4.309
2.356 -6.386 4.309
2.356 6.386 -4.309
Mg Ga Hg
2 2 7
Cartesian
0.000 2.749 0.000
0.000 10.022 0.000
0.000 0.000 1.666
0.000 6.386 0.070
2.356 -1.794 1.710
2.356 1.794 1.710
2.356 4.655 0.042
0.000 4.411 2.538
0.000 1.731 4.351
0.000 0.000 7.343
0.000 8.361 2.538
```

Main lines, sorted by position (2θ from 10° to 80°):
d (Å), I (rel.)
3.086, 31
2.803, 44
2.548, 100
2.527, 50
2.356, 37
1.804, 24

---

Entry 3:
# MgGaHg4
Theoretical X-ray powder pattern, λ = 1.5418 Å (Cu Kα). Input: a crystal structure in Alexandria, relaxed with GGA-PBE.
No peak broadening, texture or thermal motion is included.

Atomic structure:
```
MgGaHg4
1.0
-2.876 2.876 4.554
2.876 -2.876 4.554
2.876 2.876 -4.554
Mg Ga Hg
1 1 4
Cartesian
0.000 0.000 0.000
0.000 2.876 2.277
2.876 0.000 0.610
0.000 0.000 2.880
2.876 0.000 3.943
0.000 0.000 6.227
```

Main lines, sorted by position (2θ from 10° to 80°):
d (Å), I (rel.)
4.863, 23
3.033, 54
2.876, 100
2.685, 76
2.034, 38
1.963, 62